For HfCdWO6, a PBE+U-relaxed structure gives the theoretical X-ray diffraction stick pattern in this record (Cu Ka).
Lines closer than 0.1° are merged.

Peak list (10 most intense, 10 to 90 degrees two-theta, sorted by position)
- 25.5 deg, rel. 100
- 33.3 deg, rel. 85
- 36.4 deg, rel. 26
- 50.2 deg, rel. 66
- 52.4 deg, rel. 17
- 59.2 deg, rel. 17
- 63.5 deg, rel. 19
- 63.8 deg, rel. 15
- 75.5 deg, rel. 15
- 86.8 deg, rel. 13

Structure:
```
18
Lattice="4.9357 0.0000 0.0000 0.0000 4.9357 0.0000 0.0000 0.0000 9.6285" Properties=species:S:1:pos:R:3 pbc="T T T"
Hf 0.0000 0.0000 0.0000
Hf 2.4678 2.4678 4.8143
Cd 0.0000 0.0000 3.1715
Cd 2.4678 2.4678 7.9858
W 0.0000 0.0000 6.3883
W 2.4678 2.4678 1.5741
O 0.8751 0.8751 7.9185
O 1.0081 1.0081 5.0549
O 1.0914 1.0914 1.4134
O 1.3764 3.5593 6.2277
O 1.4597 3.4759 0.2406
O 1.5927 3.3430 3.1043
O 3.3430 1.5927 3.1043
O 3.4759 1.4597 0.2406
O 3.5593 1.3764 6.2277
O 3.8442 3.8442 1.4134
O 3.9276 3.9276 5.0549
O 4.0605 4.0605 7.9185
```